Entry 1:
Diffraction record for AlSi2. The powder diffractogram is calculated, not measured: it uses a DFT-relaxed cell (PBE, Alexandria) and CuKα.

Top 10 peaks for 2θ from 15° to 90°, low angle first:
| 2θ (°) | intensity |
| --- | --- |
| 26.16 | 23.7 |
| 37.39 | 65.7 |
| 38.13 | 100.0 |
| 46.25 | 53.2 |
| 52.59 | 36.6 |
| 56.35 | 11.8 |
| 66.30 | 23.5 |
| 72.60 | 27.7 |
| 77.59 | 11.8 |
| 89.91 | 17.2 |

Crystal structure
a = 8.6758 Å, b = 8.6758 Å, c = 8.6758 Å
α = 156.86°, β = 156.86°, γ = 32.96°
Sites, in units of the cell vectors:
Al  0.3750  0.6250  0.7500
Al  0.6250  0.3750  0.2500
Si  0.0500  0.8000  0.2500
Si  0.2000  0.9500  0.2500
Si  0.8000  0.0500  0.7500
Si  0.9500  0.2000  0.7500

Entry 2:
Diffraction record for Pm5PbSe4. The powder diffractogram is calculated, not measured: it uses a DFT-relaxed cell (PBE, Alexandria) and CuKα.

Top 10 peaks for 2θ from 15° to 90°, low angle first:
| 2θ (°) | intensity |
| --- | --- |
| 17.36 | 3.3 |
| 18.56 | 2.1 |
| 25.52 | 7.6 |
| 29.55 | 100.0 |
| 42.28 | 75.3 |
| 50.04 | 3.2 |
| 52.42 | 26.3 |
| 61.33 | 12.3 |
| 69.53 | 33.7 |
| 77.31 | 24.7 |

Crystal structure
a = 7.4056 Å, b = 7.4056 Å, c = 7.4056 Å
α = 99.59°, β = 99.59°, γ = 131.83°
Sites, in units of the cell vectors:
Pm  0.0000  0.0000  0.0000
Pm  0.1908  0.6007  0.7915
Pm  0.3993  0.1908  0.5901
Pm  0.6007  0.8092  0.4099
Pm  0.8092  0.3993  0.2085
Pb  0.5000  0.5000  0.0000
Se  0.1043  0.2988  0.4031
Se  0.2988  0.8957  0.1944
Se  0.7012  0.1043  0.8056
Se  0.8957  0.7012  0.5969

Entry 3:
Diffraction record for Pm4GeTe5. The powder diffractogram is calculated, not measured: it uses a DFT-relaxed cell (PBE, Alexandria) and CuKα.

Top 10 peaks for 2θ from 15° to 90°, low angle first:
| 2θ (°) | intensity |
| --- | --- |
| 28.43 | 100.0 |
| 40.58 | 37.0 |
| 40.71 | 38.3 |
| 50.18 | 6.3 |
| 50.40 | 20.4 |
| 58.83 | 12.4 |
| 66.52 | 16.1 |
| 66.70 | 17.4 |
| 73.74 | 5.5 |
| 74.03 | 18.9 |

Crystal structure
a = 18.3596 Å, b = 18.3596 Å, c = 18.3596 Å
α = 13.87°, β = 13.87°, γ = 13.87°
Sites, in units of the cell vectors:
Pm  0.0993  0.0993  0.0993
Pm  0.2983  0.2983  0.2983
Pm  0.7017  0.7017  0.7017
Pm  0.9007  0.9007  0.9007
Ge  0.5000  0.5000  0.5000
Te  0.0000  0.0000  0.0000
Te  0.1969  0.1969  0.1969
Te  0.4008  0.4008  0.4008
Te  0.5992  0.5992  0.5992
Te  0.8031  0.8031  0.8031

Entry 4:
Diffraction record for Ca6Mg2ZnP6H12O30. The powder diffractogram is calculated, not measured: it uses a DFT-relaxed cell (PBE, Alexandria) and CuKα.

Top 10 peaks for 2θ from 15° to 90°, low angle first:
| 2θ (°) | intensity |
| --- | --- |
| 27.10 | 40.4 |
| 28.09 | 40.2 |
| 29.23 | 100.0 |
| 29.28 | 41.5 |
| 32.33 | 32.4 |
| 32.57 | 39.9 |
| 32.78 | 70.3 |
| 32.94 | 62.3 |
| 39.66 | 32.8 |
| 54.31 | 29.6 |

Crystal structure
a = 5.5232 Å, b = 6.8807 Å, c = 15.3275 Å
α = 86.52°, β = 86.48°, γ = 82.89°
Sites, in units of the cell vectors:
Ca  0.0506  0.3357  0.4004
Ca  0.2823  0.3297  0.9324
Ca  0.3849  0.0035  0.7350
Ca  0.6151  0.9965  0.2650
Ca  0.7177  0.6703  0.0676
Ca  0.9494  0.6643  0.5996
Mg  0.1663  0.3328  0.1663
Mg  0.8337  0.6672  0.8337
Zn  0.5000  0.0000  0.5000
P  0.0528  0.8691  0.3863
P  0.2827  0.7973  0.9461
P  0.3852  0.5364  0.7204
P  0.6148  0.4636  0.2796
P  0.7173  0.2027  0.0539
P  0.9472  0.1309  0.6137
H  0.0594  0.6894  0.2081
H  0.1431  0.9609  0.2226
H  0.1890  0.7048  0.1096
H  0.2729  0.9759  0.1244
H  0.3947  0.3559  0.5425
H  0.4758  0.6305  0.5568
H  0.5242  0.3695  0.4432
H  0.6053  0.6441  0.4575
H  0.7271  0.0241  0.8756
H  0.8110  0.2952  0.8904
H  0.8569  0.0391  0.7774
H  0.9406  0.3106  0.7919
O  0.0100  0.8264  0.2899
O  0.0542  0.6827  0.9448
O  0.0786  0.6798  0.4450
O  0.0799  0.6260  0.1503
O  0.1523  0.6799  0.7475
O  0.1746  0.9811  0.5865
O  0.2523  0.0394  0.1823
O  0.2551  0.9884  0.8886
O  0.2835  0.9822  0.3852
O  0.3212  0.8379  0.0434
O  0.3469  0.4969  0.6227
O  0.3864  0.3491  0.2782
O  0.4110  0.2939  0.4841
O  0.4126  0.3451  0.7776
O  0.4848  0.3467  0.0811
O  0.5152  0.6533  0.9189
O  0.5874  0.6549  0.2224
O  0.5890  0.7061  0.5159
O  0.6136  0.6509  0.7218
O  0.6531  0.5031  0.3773
O  0.6788  0.1621  0.9566
O  0.7165  0.0178  0.6148
O  0.7449  0.0116  0.1114
O  0.7477  0.9606  0.8177
O  0.8254  0.0189  0.4135
O  0.8477  0.3201  0.2525
O  0.9201  0.3740  0.8497
O  0.9214  0.3202  0.5550
O  0.9458  0.3173  0.0552
O  0.9900  0.1736  0.7101

Entry 5:
Diffraction record for Y2Er3Al3. The powder diffractogram is calculated, not measured: it uses a DFT-relaxed cell (PBE, Alexandria) and CuKα.

Top 10 peaks for 2θ from 15° to 90°, low angle first:
| 2θ (°) | intensity |
| --- | --- |
| 18.57 | 15.5 |
| 26.42 | 12.0 |
| 28.34 | 12.8 |
| 33.50 | 100.0 |
| 37.66 | 19.2 |
| 37.76 | 19.1 |
| 54.40 | 13.2 |
| 57.03 | 18.1 |
| 65.35 | 14.3 |
| 65.48 | 14.2 |

Crystal structure
a = 4.7645 Å, b = 4.7769 Å, c = 8.7777 Å
α = 90.00°, β = 90.00°, γ = 90.00°
Sites, in units of the cell vectors:
Y  0.0000  0.0000  0.2281
Y  0.0000  0.0000  0.7719
Er  0.0000  0.5000  0.5000
Er  0.5000  0.5000  0.2261
Er  0.5000  0.5000  0.7739
Al  0.0000  0.5000  0.0000
Al  0.5000  0.0000  0.0000
Al  0.5000  0.0000  0.5000

Entry 6:
Diffraction record for LaNbCoP2. The powder diffractogram is calculated, not measured: it uses a DFT-relaxed cell (PBE, Alexandria) and CuKα.

Top 10 peaks for 2θ from 15° to 90°, low angle first:
| 2θ (°) | intensity |
| --- | --- |
| 24.09 | 32.3 |
| 29.18 | 28.0 |
| 31.85 | 57.8 |
| 35.91 | 100.0 |
| 43.73 | 20.7 |
| 46.89 | 34.3 |
| 56.20 | 47.2 |
| 57.80 | 23.0 |
| 66.05 | 12.0 |
| 79.84 | 32.2 |

Crystal structure
a = 6.7065 Å, b = 6.7065 Å, c = 6.7065 Å
α = 146.41°, β = 146.41°, γ = 48.23°
Sites, in units of the cell vectors:
La  0.0000  0.0000  0.0000
Nb  0.2500  0.7500  0.5000
Co  0.7500  0.2500  0.5000
P  0.3696  0.3696  0.0000
P  0.6304  0.6304  0.0000

Entry 7:
Diffraction record for PmH6Rh3. The powder diffractogram is calculated, not measured: it uses a DFT-relaxed cell (PBE, Alexandria) and CuKα.

Top 10 peaks for 2θ from 15° to 90°, low angle first:
| 2θ (°) | intensity |
| --- | --- |
| 32.90 | 100.0 |
| 35.66 | 38.6 |
| 37.26 | 34.7 |
| 39.93 | 28.9 |
| 40.50 | 52.5 |
| 53.72 | 12.4 |
| 57.06 | 19.4 |
| 59.29 | 17.7 |
| 66.16 | 12.3 |
| 67.19 | 11.9 |

Crystal structure
a = 4.5065 Å, b = 4.5065 Å, c = 5.2789 Å
α = 109.77°, β = 109.77°, γ = 98.44°
Sites, in units of the cell vectors:
Pm  0.0000  0.0000  0.0000
H  0.0436  0.0436  0.5315
H  0.2031  0.5961  0.7427
H  0.4690  0.4690  0.3528
H  0.4812  0.8829  0.2662
H  0.5961  0.2031  0.7427
H  0.8829  0.4812  0.2662
Rh  0.2923  0.7818  0.5087
Rh  0.4986  0.4986  0.0087
Rh  0.7818  0.2923  0.5087

Entry 8:
Diffraction record for AcCd11Sn. The powder diffractogram is calculated, not measured: it uses a DFT-relaxed cell (PBE, Alexandria) and CuKα.

Top 10 peaks for 2θ from 15° to 90°, low angle first:
| 2θ (°) | intensity |
| --- | --- |
| 27.83 | 36.5 |
| 30.15 | 44.6 |
| 30.37 | 42.7 |
| 33.08 | 89.9 |
| 33.35 | 71.4 |
| 35.03 | 94.9 |
| 35.42 | 47.8 |
| 35.74 | 41.3 |
| 35.98 | 100.0 |
| 37.74 | 43.3 |

Crystal structure
a = 7.8179 Å, b = 7.8179 Å, c = 7.6572 Å
α = 99.62°, β = 99.62°, γ = 131.58°
Sites, in units of the cell vectors:
Ac  0.0000  0.0000  0.0000
Cd  0.0000  0.5000  0.0000
Cd  0.0093  0.3655  0.3529
Cd  0.2978  0.5149  0.7874
Cd  0.3655  0.0093  0.3529
Cd  0.4851  0.7022  0.2126
Cd  0.5000  0.0000  0.0000
Cd  0.5000  0.5000  0.5000
Cd  0.5149  0.2978  0.7874
Cd  0.6345  0.9907  0.6471
Cd  0.7022  0.4851  0.2126
Cd  0.9907  0.6345  0.6471
Sn  0.0000  0.0000  0.5000

Entry 9:
Diffraction record for TbHoScTl. The powder diffractogram is calculated, not measured: it uses a DFT-relaxed cell (PBE, Alexandria) and CuKα.

Top 10 peaks for 2θ from 15° to 90°, low angle first:
| 2θ (°) | intensity |
| --- | --- |
| 18.65 | 14.1 |
| 32.67 | 100.0 |
| 37.75 | 16.9 |
| 37.89 | 16.8 |
| 38.07 | 16.5 |
| 54.56 | 11.7 |
| 64.96 | 13.8 |
| 65.15 | 13.7 |
| 65.40 | 13.5 |
| 68.46 | 11.8 |

Crystal structure
a = 4.7276 Å, b = 4.7490 Å, c = 4.7665 Å
α = 90.00°, β = 90.00°, γ = 90.00°
Sites, in units of the cell vectors:
Tb  0.0000  0.0000  0.0000
Ho  0.0000  0.5000  0.5000
Sc  0.5000  0.5000  0.0000
Tl  0.5000  0.0000  0.5000

Entry 10:
Diffraction record for Sb4S5. The powder diffractogram is calculated, not measured: it uses a DFT-relaxed cell (PBE, Alexandria) and CuKα.

Top 10 peaks for 2θ from 15° to 90°, low angle first:
| 2θ (°) | intensity |
| --- | --- |
| 18.20 | 39.9 |
| 26.94 | 69.8 |
| 30.87 | 53.2 |
| 31.37 | 100.0 |
| 44.59 | 72.8 |
| 44.95 | 35.3 |
| 53.18 | 27.7 |
| 55.52 | 36.9 |
| 73.31 | 16.1 |
| 82.67 | 18.1 |

Crystal structure
a = 7.0042 Å, b = 7.0042 Å, c = 7.0042 Å
α = 99.85°, β = 99.85°, γ = 131.15°
Sites, in units of the cell vectors:
Sb  0.0847  0.7040  0.7888
Sb  0.2960  0.0847  0.3807
Sb  0.7040  0.9153  0.6193
Sb  0.9153  0.2960  0.2112
S  0.0000  0.0000  0.0000
S  0.1791  0.4045  0.5836
S  0.4045  0.8209  0.2254
S  0.5955  0.1791  0.7746
S  0.8209  0.5955  0.4164